[1]
This entry pairs a crystal structure of Tm2Be16Co with its simulated PXRD pattern. Radiation: CuKα. Structure: a structure optimized by DFT (GGA-PBE).
Lines closer than 0.1° are merged.

The 10 most intense peaks (10 to 80 degrees two-theta), in order of rising 2θ:
- 15.4 deg, intensity 24.4
- 23.1 deg, intensity 100.0
- 23.8 deg, intensity 20.5
- 33.4 deg, intensity 60.7
- 34.7 deg, intensity 17.8
- 40.5 deg, intensity 28.7
- 47.2 deg, intensity 21.8
- 47.5 deg, intensity 28.2
- 48.5 deg, intensity 15.2
- 69.2 deg, intensity 16.2

Atomic structure:
```
data_Tm2Be16Co
_chemical_formula_sum 'Tm2 Be16 Co1'
_space_group_name_H-M_alt 'P 1'
_space_group_IT_number 1
_cell_length_a 5.8126
_cell_length_b 5.8126
_cell_length_c 5.8126
_cell_angle_alpha 83.09
_cell_angle_beta 83.09
_cell_angle_gamma 83.09
loop_
_space_group_symop_operation_xyz
'x,y,z'
loop_
_atom_site_label
_atom_site_fract_x
_atom_site_fract_y
_atom_site_fract_z
_atom_site_occupancy
Tm1 0.0000 0.0000 0.0000 1
Tm2 0.3199 0.3199 0.3199 1
Be1 0.1628 0.6551 0.6551 1
Be2 0.3218 0.3218 0.8091 1
Be3 0.3218 0.8091 0.3218 1
Be4 0.3799 0.6561 0.9314 1
Be5 0.3799 0.9314 0.6561 1
Be6 0.5023 0.9959 0.9959 1
Be7 0.6551 0.1628 0.6551 1
Be8 0.6551 0.6551 0.1628 1
Be9 0.6561 0.3799 0.9314 1
Be10 0.6561 0.9314 0.3799 1
Be11 0.7544 0.7544 0.7544 1
Be12 0.8091 0.3218 0.3218 1
Be13 0.9314 0.3799 0.6561 1
Be14 0.9314 0.6561 0.3799 1
Be15 0.9959 0.5023 0.9959 1
Be16 0.9959 0.9959 0.5023 1
Co1 0.5623 0.5623 0.5623 1
```

---

[2]
This entry pairs a crystal structure of Be2V5Co12 with its simulated PXRD pattern. Radiation: CuKα. Structure: a structure optimized by DFT (GGA-PBE).
Lines closer than 0.1° are merged.

The 10 most intense peaks (10 to 80 degrees two-theta), in order of rising 2θ:
- 15.5 deg, intensity 22.6
- 32.8 deg, intensity 28.0
- 43.1 deg, intensity 68.3
- 44.1 deg, intensity 63.4
- 44.3 deg, intensity 100.0
- 45.9 deg, intensity 61.4
- 46.1 deg, intensity 100.0
- 50.1 deg, intensity 38.9
- 51.3 deg, intensity 30.9
- 52.4 deg, intensity 27.9

Atomic structure:
```
data_Be2V5Co12
_chemical_formula_sum 'Be2 V5 Co12'
_space_group_name_H-M_alt 'P 1'
_space_group_IT_number 1
_cell_length_a 6.4205
_cell_length_b 6.4205
_cell_length_c 5.7220
_cell_angle_alpha 91.82
_cell_angle_beta 91.82
_cell_angle_gamma 63.07
loop_
_space_group_symop_operation_xyz
'x,y,z'
loop_
_atom_site_label
_atom_site_fract_x
_atom_site_fract_y
_atom_site_fract_z
_atom_site_occupancy
Be1 0.2403 0.7597 0.0000 1
Be2 0.7597 0.2403 0.0000 1
V1 0.1796 0.1796 0.9387 1
V2 0.2548 0.2548 0.4180 1
V3 0.5000 0.5000 0.5000 1
V4 0.7452 0.7452 0.5820 1
V5 0.8204 0.8204 0.0613 1
Co1 0.0568 0.0568 0.2627 1
Co2 0.0944 0.6966 0.3760 1
Co3 0.1553 0.5212 0.7577 1
Co4 0.3034 0.9056 0.6240 1
Co5 0.3901 0.3901 0.1127 1
Co6 0.4788 0.8447 0.2423 1
Co7 0.5212 0.1553 0.7577 1
Co8 0.6099 0.6099 0.8873 1
Co9 0.6966 0.0944 0.3760 1
Co10 0.8447 0.4788 0.2423 1
Co11 0.9056 0.3034 0.6240 1
Co12 0.9432 0.9432 0.7373 1
```